# 1
Calculated powder diffractogram of Pa3GeP3 for Cu Kα, from a crystal structure in Alexandria, relaxed with PBE.
No peak broadening, texture or thermal motion is included.

Structural model:
a = 5.642 Å, b = 5.642 Å, c = 5.642 Å
α = 90.00°, β = 90.00°, γ = 90.00°
Space group Pm-3m (No. 221)
Symmetry-distinct sites (fractional):
Pa (0.000, 0.000, 0.500) [3 per cell]
Ge (0.000, 0.000, 0.000) [1 per cell]
P (0.000, 0.500, 0.500) [3 per cell]

Largest 10 diffraction maxima, sorted by position, 2θ = 10–80°:
15.71°, 5.642 Å, intensity 53, hkl 1 0 0; 22.28°, 3.990 Å, intensity 22, hkl 1 1 0; 27.38°, 3.258 Å, intensity 69, hkl 1 1 1; 31.72°, 2.821 Å, intensity 100, hkl 2 0 0; 35.58°, 2.523 Å, intensity 30, hkl 2 1 0; 45.47°, 1.995 Å, intensity 74, hkl 2 2 0; 48.40°, 1.881 Å, intensity 16, hkl 3 0 0; 53.89°, 1.701 Å, intensity 35, hkl 3 1 1; 56.50°, 1.629 Å, intensity 26, hkl 2 2 2; 75.33°, 1.262 Å, intensity 34, hkl 4 2 0


# 2
Calculated powder diffractogram of SbPRu for Cu Kα, from a crystal structure in Alexandria, relaxed with PBE.
No peak broadening, texture or thermal motion is included.

Structural model:
a = 6.168 Å, b = 6.268 Å, c = 6.242 Å
α = 90.00°, β = 109.54°, γ = 90.00°
Space group P2_1/c (No. 14)
Symmetry-distinct sites (fractional):
Sb (0.149, 0.120, 0.362) [4 per cell]
P (0.354, 0.651, 0.663) [4 per cell]
Ru (0.301, 0.519, 0.305) [4 per cell]

Largest 10 diffraction maxima, sorted by position, 2θ = 10–80°:
22.56°, 3.941 Å, intensity 53, hkl 1 1 -1; 29.08°, 3.071 Å, intensity 31, hkl 1 0 -2; 30.76°, 2.906 Å, intensity 34, hkl 2 0 0; 32.37°, 2.766 Å, intensity 31, hkl 0 2 1; 32.74°, 2.736 Å, intensity 31, hkl 2 1 -1; 33.63°, 2.665 Å, intensity 100, hkl 1 2 -1; 34.00°, 2.637 Å, intensity 39, hkl 2 1 0; 45.96°, 1.975 Å, intensity 40, hkl 1 1 -3; 46.49°, 1.953 Å, intensity 39, hkl 3 1 -1; 50.58°, 1.804 Å, intensity 33, hkl 1 3 1


# 3
Calculated powder diffractogram of AcSm2MnN4 for Cu Kα, from a crystal structure in Alexandria, relaxed with PBE.
No peak broadening, texture or thermal motion is included.

Structural model:
a = 3.545 Å, b = 12.015 Å, c = 11.988 Å
α = 90.00°, β = 90.00°, γ = 90.00°
Space group Cmcm (No. 63)
Symmetry-distinct sites (fractional):
Ac (0.000, 0.100, 0.250) [4 per cell]
Sm (0.000, 0.369, 0.045) [8 per cell]
Mn (0.000, 0.169, 0.750) [4 per cell]
N (0.000, 0.000, 0.000) [4 per cell]
N (0.000, 0.268, 0.629) [8 per cell]
N (0.000, 0.415, 0.250) [4 per cell]

Largest 10 diffraction maxima, sorted by position, 2θ = 10–80°:
26.79°, 3.327 Å, intensity 75, hkl 0 2 3; 29.77°, 3.001 Å, intensity 80, hkl 0 4 0; 30.22°, 2.958 Å, intensity 100, hkl 1 1 2; 34.61°, 2.592 Å, intensity 52, hkl 1 3 1; 37.04°, 2.427 Å, intensity 53, hkl 1 3 2; 42.61°, 2.122 Å, intensity 19, hkl 0 4 4; 46.33°, 1.960 Å, intensity 27, hkl 1 1 5; 48.20°, 1.888 Å, intensity 26, hkl 1 5 2; 51.34°, 1.780 Å, intensity 41, hkl 1 3 5; 60.68°, 1.526 Å, intensity 22, hkl 2 4 0


# 4
Calculated powder diffractogram of LaVN3 for Cu Kα, from a crystal structure in Alexandria, relaxed with PBE.
No peak broadening, texture or thermal motion is included.

Structural model:
a = 4.042 Å, b = 4.042 Å, c = 17.325 Å
α = 90.00°, β = 90.00°, γ = 90.00°
Space group I-4m2 (No. 119)
Symmetry-distinct sites (fractional):
La (0.000, 0.000, 0.098) [4 per cell]
V (0.000, 0.000, 0.500) [2 per cell]
V (0.000, 0.500, 0.250) [2 per cell]
N (0.000, 0.163, 0.320) [8 per cell]
N (0.000, 0.500, 0.507) [4 per cell]

Largest 10 diffraction maxima, sorted by position, 2θ = 10–80°:
10.21°, 8.662 Å, intensity 23, hkl 0 0 2; 22.59°, 3.937 Å, intensity 60, hkl 1 0 1; 31.29°, 2.858 Å, intensity 37, hkl 1 1 0; 33.00°, 2.714 Å, intensity 18, hkl 1 1 2; 34.08°, 2.631 Å, intensity 100, hkl 1 0 5; 37.71°, 2.386 Å, intensity 35, hkl 1 1 4; 44.84°, 2.021 Å, intensity 30, hkl 2 0 0; 50.78°, 1.798 Å, intensity 16, hkl 2 1 1; 57.50°, 1.603 Å, intensity 36, hkl 2 1 5; 62.71°, 1.482 Å, intensity 16, hkl 1 1 10


# 5
Calculated powder diffractogram of TcAgPb2O6 for Cu Kα, from a crystal structure in Alexandria, relaxed with PBE.
No peak broadening, texture or thermal motion is included.

Structural model:
a = 5.687 Å, b = 6.275 Å, c = 9.771 Å
α = 90.00°, β = 123.76°, γ = 90.00°
Space group P2_1/c (No. 14)
Symmetry-distinct sites (fractional):
Tc (0.000, 0.000, 0.000) [2 per cell]
Ag (0.500, 0.000, 0.500) [2 per cell]
Pb (0.273, 0.054, 0.762) [4 per cell]
O (0.114, 0.065, 0.223) [4 per cell]
O (0.226, 0.749, 0.075) [4 per cell]
O (0.322, 0.156, 0.034) [4 per cell]

Largest 10 diffraction maxima, sorted by position, 2θ = 10–80°:
21.09°, 4.213 Å, intensity 16, hkl 1 1 -1; 28.45°, 3.137 Å, intensity 48, hkl 0 2 0; 30.21°, 2.959 Å, intensity 100, hkl 1 1 1; 30.94°, 2.890 Å, intensity 97, hkl 1 1 -3; 31.48°, 2.842 Å, intensity 48, hkl 2 0 -2; 42.94°, 2.106 Å, intensity 38, hkl 2 2 -2; 44.64°, 2.030 Å, intensity 29, hkl 0 0 4; 53.77°, 1.705 Å, intensity 18, hkl 0 2 4; 54.78°, 1.676 Å, intensity 31, hkl 3 1 -1; 56.16°, 1.638 Å, intensity 20, hkl 3 1 -5


# 6
Calculated powder diffractogram of SrGeH2O4 for Cu Kα, from a crystal structure in Alexandria, relaxed with PBE.
No peak broadening, texture or thermal motion is included.

Structural model:
a = 7.415 Å, b = 7.415 Å, c = 6.808 Å
α = 90.00°, β = 90.00°, γ = 90.00°
Space group I-42d (No. 122)
Symmetry-distinct sites (fractional):
Sr (0.000, 0.000, 0.000) [4 per cell]
Ge (0.000, 0.000, 0.500) [4 per cell]
H (0.174, 0.250, 0.625) [8 per cell]
O (0.088, 0.671, 0.907) [16 per cell]

Largest 10 diffraction maxima, sorted by position, 2θ = 10–80°:
24.00°, 3.707 Å, intensity 100, hkl 2 0 0; 31.33°, 2.855 Å, intensity 100, hkl 1 1 2; 34.21°, 2.621 Å, intensity 36, hkl 2 2 0; 47.06°, 1.931 Å, intensity 80, hkl 3 1 2; 49.15°, 1.854 Å, intensity 10, hkl 4 0 0; 55.42°, 1.658 Å, intensity 22, hkl 4 2 0; 59.45°, 1.555 Å, intensity 17, hkl 3 3 2; 59.79°, 1.547 Å, intensity 17, hkl 2 0 4; 65.38°, 1.427 Å, intensity 15, hkl 2 2 4; 70.41°, 1.337 Å, intensity 20, hkl 5 1 2


# 7
Calculated powder diffractogram of Cd4HgAu7 for Cu Kα, from a crystal structure in Alexandria, relaxed with PBE.
No peak broadening, texture or thermal motion is included.

Structural model:
a = 10.735 Å, b = 5.242 Å, c = 10.510 Å
α = 90.00°, β = 120.45°, γ = 90.00°
Space group C2/m (No. 12)
Symmetry-distinct sites (fractional):
Cd (0.097, 0.000, 0.275) [4 per cell]
Cd (0.238, 0.500, 0.165) [4 per cell]
Hg (0.000, 0.500, 0.500) [2 per cell]
Au (0.000, 0.000, 0.500) [2 per cell]
Au (0.063, 0.500, 0.841) [4 per cell]
Au (0.138, 0.000, 0.021) [4 per cell]
Au (0.211, 0.500, 0.414) [4 per cell]

Largest 10 diffraction maxima, sorted by position, 2θ = 10–80°:
19.60°, 4.530 Å, intensity 17, hkl 0 0 2; 23.97°, 3.712 Å, intensity 27, hkl 1 1 -2; 34.20°, 2.622 Å, intensity 100, hkl 0 2 0; 34.88°, 2.573 Å, intensity 79, hkl 4 0 -3; 39.26°, 2.295 Å, intensity 63, hkl 3 1 1; 39.41°, 2.286 Å, intensity 22, hkl 3 1 -4; 39.74°, 2.268 Å, intensity 82, hkl 1 1 -4; 49.66°, 1.836 Å, intensity 59, hkl 4 2 -3; 64.65°, 1.442 Å, intensity 15, hkl 3 3 1; 65.00°, 1.435 Å, intensity 16, hkl 1 3 -4


# 8
Calculated powder diffractogram of PrBe2Pt2N for Cu Kα, from a crystal structure in Alexandria, relaxed with PBE.
No peak broadening, texture or thermal motion is included.

Structural model:
a = 3.904 Å, b = 3.904 Å, c = 11.286 Å
α = 90.00°, β = 90.00°, γ = 90.00°
Space group I4/mmm (No. 139)
Symmetry-distinct sites (fractional):
Pr (0.000, 0.000, 0.000) [2 per cell]
Be (0.000, 0.000, 0.359) [4 per cell]
Pt (0.000, 0.500, 0.250) [4 per cell]
N (0.000, 0.000, 0.500) [2 per cell]

Largest 10 diffraction maxima, sorted by position, 2θ = 10–80°:
15.70°, 5.643 Å, intensity 34, hkl 0 0 2; 24.12°, 3.689 Å, intensity 14, hkl 1 0 1; 31.71°, 2.821 Å, intensity 34, hkl 0 0 4; 32.44°, 2.760 Å, intensity 11, hkl 1 1 0; 36.23°, 2.480 Å, intensity 100, hkl 1 1 2; 46.52°, 1.952 Å, intensity 29, hkl 2 0 0; 57.41°, 1.605 Å, intensity 26, hkl 2 0 4; 59.47°, 1.554 Å, intensity 25, hkl 1 1 6; 76.90°, 1.240 Å, intensity 11, hkl 2 2 4; 79.48°, 1.206 Å, intensity 21, hkl 3 1 2


# 9
Calculated powder diffractogram of CrNi5Pt for Cu Kα, from a crystal structure in Alexandria, relaxed with PBE.
No peak broadening, texture or thermal motion is included.

Structural model:
a = 4.582 Å, b = 4.677 Å, c = 8.361 Å
α = 90.00°, β = 90.00°, γ = 90.00°
Space group Imm2 (No. 44)
Symmetry-distinct sites (fractional):
Cr (0.000, 0.000, 0.000) [2 per cell]
Ni (0.000, 0.242, 0.634) [4 per cell]
Ni (0.000, 0.500, 0.088) [2 per cell]
Ni (0.246, 0.000, 0.343) [4 per cell]
Pt (0.000, 0.500, 0.367) [2 per cell]

Largest 10 diffraction maxima, sorted by position, 2θ = 10–80°:
22.12°, 4.018 Å, intensity 48, hkl 1 0 1; 27.25°, 3.273 Å, intensity 61, hkl 1 1 0; 34.81°, 2.577 Å, intensity 35, hkl 1 1 2; 37.78°, 2.381 Å, intensity 75, hkl 1 0 3; 43.28°, 2.090 Å, intensity 42, hkl 0 0 4; 44.38°, 2.041 Å, intensity 64, hkl 0 2 2; 44.84°, 2.021 Å, intensity 68, hkl 1 2 1; 45.40°, 1.998 Å, intensity 100, hkl 2 1 1; 51.90°, 1.762 Å, intensity 45, hkl 1 1 4; 55.52°, 1.655 Å, intensity 41, hkl 2 1 3


# 10
Calculated powder diffractogram of Na6GeAs4 for Cu Kα, from a crystal structure in Alexandria, relaxed with PBE.
No peak broadening, texture or thermal motion is included.

Structural model:
a = 9.8725 Å, b = 9.8725 Å, c = 6.5279 Å
α = 90.00°, β = 90.00°, γ = 120.00°
Space group P6_3mc (No. 186)
Symmetry-distinct sites (fractional):
Na (0.0276, 0.5138, 0.0000) [6 per cell]
Na (0.1527, 0.3054, 0.7426) [6 per cell]
Ge (0.3333, 0.6667, 0.3554) [2 per cell]
As (0.1928, 0.3856, 0.2609) [6 per cell]
As (0.3333, 0.6667, 0.7345) [2 per cell]

Largest 10 diffraction maxima, sorted by position, 2θ = 10–80°:
10.35°, 8.550 Å, intensity 73, hkl 1 0 0; 17.09°, 5.188 Å, intensity 38, hkl 1 0 1; 20.78°, 4.275 Å, intensity 45, hkl 2 0 0; 24.90°, 3.576 Å, intensity 49, hkl 2 0 1; 27.32°, 3.264 Å, intensity 40, hkl 0 0 2; 34.33°, 2.612 Å, intensity 32, hkl 3 0 1; 34.57°, 2.594 Å, intensity 79, hkl 2 0 2; 36.40°, 2.468 Å, intensity 100, hkl 2 2 0; 46.11°, 1.969 Å, intensity 35, hkl 2 2 2; 46.85°, 1.939 Å, intensity 21, hkl 2 0 3


# 11
Calculated powder diffractogram of Tm2Mg2AlGa4 for Cu Kα, from a crystal structure in Alexandria, relaxed with PBE.
No peak broadening, texture or thermal motion is included.

Structural model:
a = 6.829 Å, b = 6.829 Å, c = 8.920 Å
α = 90.00°, β = 90.00°, γ = 90.00°
Space group I4/mmm (No. 139)
Symmetry-distinct sites (fractional):
Tm (0.000, 0.000, 0.190) [4 per cell]
Mg (0.000, 0.500, 0.250) [4 per cell]
Al (0.000, 0.000, 0.500) [2 per cell]
Ga (0.245, 0.245, 0.000) [8 per cell]

Largest 10 diffraction maxima, sorted by position, 2θ = 10–80°:
16.35°, 5.422 Å, intensity 19, hkl 1 0 1; 18.37°, 4.829 Å, intensity 64, hkl 1 1 0; 27.22°, 3.276 Å, intensity 14, hkl 1 1 2; 32.85°, 2.726 Å, intensity 33, hkl 1 0 3; 33.04°, 2.711 Å, intensity 100, hkl 2 0 2; 37.24°, 2.414 Å, intensity 57, hkl 2 2 0; 41.83°, 2.159 Å, intensity 16, hkl 3 1 0; 42.43°, 2.130 Å, intensity 37, hkl 2 1 3; 53.69°, 1.707 Å, intensity 20, hkl 4 0 0; 64.51°, 1.445 Å, intensity 28, hkl 4 2 2


# 12
Calculated powder diffractogram of Ba2AgHg5 for Cu Kα, from a crystal structure in Alexandria, relaxed with PBE.
No peak broadening, texture or thermal motion is included.

Structural model:
a = 4.902 Å, b = 18.818 Å, c = 10.695 Å
α = 90.00°, β = 90.00°, γ = 90.00°
Space group Cmcm (No. 63)
Symmetry-distinct sites (fractional):
Ba (0.000, 0.000, 0.000) [4 per cell]
Ba (0.000, 0.202, 0.250) [4 per cell]
Ag (0.000, 0.441, 0.750) [4 per cell]
Hg (0.000, 0.188, 0.608) [8 per cell]
Hg (0.000, 0.355, 0.530) [8 per cell]
Hg (0.000, 0.410, 0.250) [4 per cell]

Largest 10 diffraction maxima, sorted by position, 2θ = 10–80°:
28.50°, 3.132 Å, intensity 73, hkl 1 3 2; 29.93°, 2.985 Å, intensity 85, hkl 1 5 0; 31.40°, 2.849 Å, intensity 100, hkl 1 1 3; 33.11°, 2.705 Å, intensity 35, hkl 0 6 2; 36.66°, 2.451 Å, intensity 56, hkl 2 0 0; 38.22°, 2.355 Å, intensity 32, hkl 0 6 3; 41.06°, 2.198 Å, intensity 32, hkl 1 3 4; 41.92°, 2.155 Å, intensity 22, hkl 0 8 2; 50.23°, 1.816 Å, intensity 22, hkl 2 6 2; 56.90°, 1.618 Å, intensity 21, hkl 1 3 6


# 13
Calculated powder diffractogram of Sm2ZnRu3 for Cu Kα, from a crystal structure in Alexandria, relaxed with PBE.
No peak broadening, texture or thermal motion is included.

Structural model:
a = 9.296 Å, b = 5.430 Å, c = 5.379 Å
α = 90.00°, β = 124.88°, γ = 90.00°
Space group C2/m (No. 12)
Symmetry-distinct sites (fractional):
Sm (0.123, 0.000, 0.377) [4 per cell]
Zn (0.000, 0.500, 0.000) [2 per cell]
Ru (0.000, 0.500, 0.500) [2 per cell]
Ru (0.250, 0.250, 0.000) [4 per cell]

Largest 10 diffraction maxima, sorted by position, 2θ = 10–80°:
33.06°, 2.710 Å, intensity 44, hkl 1 1 1; 33.30°, 2.691 Å, intensity 66, hkl 3 1 -1; 38.99°, 2.310 Å, intensity 90, hkl 0 2 1; 39.11°, 2.303 Å, intensity 100, hkl 2 0 1; 39.30°, 2.292 Å, intensity 61, hkl 4 0 -1; 40.80°, 2.211 Å, intensity 35, hkl 2 2 0; 63.05°, 1.474 Å, intensity 18, hkl 1 3 -2; 63.22°, 1.471 Å, intensity 28, hkl 3 3 -2; 69.44°, 1.353 Å, intensity 21, hkl 2 2 2; 69.93°, 1.345 Å, intensity 31, hkl 6 2 -2